[1]
This entry pairs a crystal structure of ScCuTe2 with its simulated X-ray diffraction stick pattern. Radiation: Cu Kα, 1.54184 Å. Structure: a DFT-relaxed cell (PBE, OQMD).

Cell and atoms:
Cell: 4.2204 4.2204 6.7732 Å, 90.00 90.00 120.00°
Space group P3m1 (No. 156)
Asymmetric unit:
Sc (0.0000, 0.0000, 0.0000)
Cu (0.3333, 0.6667, 0.3837)
Te (0.3333, 0.6667, 0.7656)
Te (0.6667, 0.3333, 0.2618)

Largest 10 diffraction maxima, low angle first, 2θ from 10° to 90°:
- 2θ = 24.4°, intensity 31, hkl 1 0 0
- 2θ = 26.3°, intensity 26, hkl 0 0 2
- 2θ = 27.7°, intensity 100, hkl 1 0 1
- 2θ = 36.2°, intensity 46, hkl 1 0 2
- 2θ = 42.9°, intensity 55, hkl 1 1 0
- 2θ = 47.3°, intensity 42, hkl 0 1 3
- 2θ = 51.0°, intensity 25, hkl 1 1 2
- 2θ = 51.8°, intensity 17, hkl 0 2 1
- 2θ = 65.7°, intensity 15, hkl 2 0 3
- 2θ = 81.7°, intensity 17, hkl 1 2 3


[2]
This entry pairs a crystal structure of Zr4Sc2Co3C3 with its simulated X-ray diffraction stick pattern. Radiation: Cu Kα, 1.54184 Å. Structure: a DFT-relaxed cell (PBE, OQMD).

Cell and atoms:
Cell: 9.834 5.668 13.681 Å, 90.00 104.51 90.00°
Space group C2/c (No. 15)
Asymmetric unit:
Zr (0.116, 0.088, 0.096)
Zr (0.219, 0.082, 0.405)
Sc (0.043, 0.418, 0.889)
Co (0.000, 0.075, 0.250)
Co (0.243, 0.342, 0.250)
C (0.083, 0.252, 0.500)
C (0.250, 0.250, 0.000)

Largest 10 diffraction maxima, low angle first, 2θ from 10° to 90°:
- 2θ = 18.2°, intensity 49, hkl 1 1 0
- 2θ = 18.6°, intensity 40, hkl 2 0 0
- 2θ = 31.5°, intensity 40, hkl 3 1 -1
- 2θ = 32.3°, intensity 43, hkl 0 2 1
- 2θ = 37.5°, intensity 96, hkl 3 1 -4
- 2θ = 37.7°, intensity 100, hkl 0 2 3
- 2θ = 37.9°, intensity 100, hkl 3 1 2
- 2θ = 40.9°, intensity 55, hkl 0 0 6
- 2θ = 56.2°, intensity 40, hkl 6 0 -2
- 2θ = 66.3°, intensity 27, hkl 6 2 -1


[3]
This entry pairs a crystal structure of Ho10Si17 with its simulated X-ray diffraction stick pattern. Radiation: Cu Kα, 1.54184 Å. Structure: a DFT-relaxed cell (PBE, OQMD).

Cell and atoms:
Cell: 8.251 19.117 6.659 Å, 90.00 90.00 90.00°
Space group Imm2 (No. 44)
Asymmetric unit:
Ho (0.244, 0.000, 0.000)
Ho (0.248, 0.300, 0.503)
Ho (0.248, 0.400, 0.008)
Si (0.000, 0.000, 0.319)
Si (0.000, 0.000, 0.670)
Si (0.000, 0.105, 0.849)
Si (0.000, 0.122, 0.207)
Si (0.000, 0.199, 0.614)
Si (0.000, 0.284, 0.197)
Si (0.000, 0.300, 0.836)
Si (0.000, 0.400, 0.341)
Si (0.000, 0.419, 0.697)
Si (0.000, 0.500, 0.126)

Largest 10 diffraction maxima, low angle first, 2θ from 10° to 90°:
- 2θ = 21.5°, intensity 30, hkl 2 0 0
- 2θ = 26.8°, intensity 27, hkl 0 0 2
- 2θ = 26.9°, intensity 55, hkl 0 5 1
- 2θ = 34.6°, intensity 51, hkl 2 0 2
- 2θ = 34.7°, intensity 100, hkl 2 5 1
- 2θ = 43.9°, intensity 17, hkl 4 0 0
- 2θ = 47.4°, intensity 25, hkl 0 5 3
- 2θ = 52.2°, intensity 18, hkl 4 5 1
- 2θ = 60.2°, intensity 19, hkl 2 10 2
- 2θ = 66.5°, intensity 18, hkl 4 5 3